Computed X-ray powder pattern
Compound: Zr3GaNi8
Radiation: λ = 1.5418 Å (Cu Kα)
Structure: the GGA-PBE geometry in Alexandria

Main lines, in order of falling intensity (2θ from 10° to 90°):
| 2θ (°) | d_spacing | I/Imax |
| --- | --- | --- |
| 43.5 | 2.081 | 100 |
| 36.8 | 2.440 | 38 |
| 45.5 | 1.992 | 32 |
| 71.0 | 1.328 | 27 |
| 78.4 | 1.220 | 22 |
| 66.4 | 1.409 | 11 |
| 89.9 | 1.091 | 4 |
| 33.7 | 2.658 | 4 |

Cell and atoms:
a = 8.4579 Å, b = 8.4579 Å, c = 8.4579 Å
α = 33.53°, β = 33.53°, γ = 33.53°
Atoms (fractional coordinates):
Zr 0.0000 0.0000 0.0000
Zr 0.1276 0.1276 0.1276
Zr 0.5154 0.5154 0.5154
Ga 0.6402 0.6402 0.6402
Ni 0.0698 0.0698 0.5648
Ni 0.0698 0.5648 0.0698
Ni 0.0715 0.5682 0.5682
Ni 0.3180 0.3180 0.3180
Ni 0.5648 0.0698 0.0698
Ni 0.5682 0.0715 0.5682
Ni 0.5682 0.5682 0.0715
Ni 0.8185 0.8185 0.8185